# 1
Diffraction record for La2Nd2Se3O4. The powder diffractogram is theoretical, not measured: it uses a GGA-PBE-relaxed structure and Cu Kα.
No peak broadening, texture or thermal motion is included.

```
La2Nd2Se3O4
1.0
8.497 0.000 0.000
0.000 2.029 6.533
0.000 -2.029 6.533
La Nd Se O
2 2 3 4
Direct
0.238 0.000 0.000 La
0.762 0.000 0.000 La
0.000 0.683 0.683 Nd
0.500 0.669 0.669 Nd
0.000 0.368 0.368 Se
0.351 0.324 0.324 Se
0.649 0.324 0.324 Se
0.000 0.097 0.097 O
0.244 0.597 0.597 O
0.500 0.071 0.071 O
0.756 0.597 0.597 O
```

The 10 most intense peaks (10 to 80 degrees two-theta), low angle first:
- 2θ 25.0, I 54
- 2θ 30.1, I 100
- 2θ 31.2, I 53
- 2θ 34.6, I 28
- 2θ 44.7, I 20
- 2θ 46.5, I 23
- 2θ 51.9, I 15
- 2θ 53.0, I 17
- 2θ 57.7, I 17
- 2θ 58.6, I 15

---

# 2
Diffraction record for LaPr3As4. The powder diffractogram is theoretical, not measured: it uses a GGA-PBE-relaxed structure and Cu Kα.
No peak broadening, texture or thermal motion is included.

```
LaPr3As4
1.0
8.643 0.000 0.000
0.000 12.224 0.000
0.000 0.000 4.323
La Pr As
2 6 8
Direct
0.000 0.000 0.000 La
0.500 0.500 0.000 La
0.000 0.500 0.000 Pr
0.250 0.250 0.500 Pr
0.250 0.750 0.500 Pr
0.500 0.000 0.000 Pr
0.750 0.250 0.500 Pr
0.750 0.750 0.500 Pr
0.000 0.251 0.000 As
0.000 0.749 0.000 As
0.249 0.500 0.500 As
0.251 0.000 0.500 As
0.500 0.249 0.000 As
0.500 0.751 0.000 As
0.749 0.000 0.500 As
0.751 0.500 0.500 As
```

The 9 most intense peaks (10 to 80 degrees two-theta), low angle first:
- 2θ 25.2, I 16
- 2θ 29.2, I 100
- 2θ 41.8, I 75
- 2θ 49.5, I 8
- 2θ 51.8, I 27
- 2θ 60.6, I 12
- 2θ 66.7, I 3
- 2θ 68.7, I 34
- 2θ 76.3, I 25

---

# 3
Diffraction record for Cu4Ag. The powder diffractogram is theoretical, not measured: it uses a GGA-PBE-relaxed structure and Cu Kα.
No peak broadening, texture or thermal motion is included.

```
Cu4Ag
1.0
6.522 0.000 0.000
0.000 2.703 0.000
-1.409 0.000 7.406
Cu Ag
8 2
Direct
0.057 0.250 0.144 Cu
0.142 0.750 0.447 Cu
0.217 0.250 0.741 Cu
0.338 0.750 0.018 Cu
0.662 0.250 0.982 Cu
0.783 0.750 0.259 Cu
0.858 0.250 0.553 Cu
0.943 0.750 0.856 Cu
0.454 0.250 0.329 Ag
0.546 0.750 0.671 Ag
```

The 10 most intense peaks (10 to 80 degrees two-theta), low angle first:
- 2θ 36.4, I 8
- 2θ 41.6, I 46
- 2θ 41.8, I 53
- 2θ 42.2, I 100
- 2θ 47.1, I 69
- 2θ 52.2, I 22
- 2θ 68.0, I 11
- 2θ 69.6, I 11
- 2θ 72.8, I 13
- 2θ 73.1, I 15

---

# 4
Diffraction record for Cs4P2PdSe8. The powder diffractogram is theoretical, not measured: it uses a GGA-PBE-relaxed structure and Cu Kα.
No peak broadening, texture or thermal motion is included.

```
Cs4P2PdSe8
1.0
7.666 0.000 0.000
0.000 13.814 0.000
-0.599 0.000 10.340
Cs P Pd Se
8 4 2 16
Direct
0.178 0.131 0.172 Cs
0.178 0.369 0.672 Cs
0.274 0.650 0.966 Cs
0.274 0.850 0.466 Cs
0.726 0.150 0.534 Cs
0.726 0.350 0.034 Cs
0.822 0.631 0.328 Cs
0.822 0.869 0.828 Cs
0.238 0.082 0.757 P
0.238 0.418 0.257 P
0.762 0.582 0.743 P
0.762 0.918 0.243 P
0.500 0.000 0.000 Pd
0.500 0.500 0.500 Pd
0.010 0.629 0.666 Se
0.010 0.871 0.166 Se
0.241 0.109 0.549 Se
0.241 0.391 0.049 Se
0.310 0.572 0.322 Se
0.310 0.928 0.822 Se
0.477 0.148 0.865 Se
0.477 0.352 0.365 Se
0.523 0.648 0.635 Se
0.523 0.852 0.135 Se
0.690 0.072 0.178 Se
0.690 0.428 0.678 Se
0.759 0.609 0.951 Se
0.759 0.891 0.451 Se
0.990 0.129 0.834 Se
0.990 0.371 0.334 Se
```

The 10 most intense peaks (10 to 80 degrees two-theta), low angle first:
- 2θ 21.2, I 41
- 2θ 23.9, I 44
- 2θ 25.2, I 100
- 2θ 25.8, I 96
- 2θ 26.7, I 85
- 2θ 28.9, I 65
- 2θ 30.6, I 48
- 2θ 32.4, I 82
- 2θ 35.8, I 36
- 2θ 53.2, I 50

---

# 5
Diffraction record for U2BrCl5. The powder diffractogram is theoretical, not measured: it uses a GGA-PBE-relaxed structure and Cu Kα.
No peak broadening, texture or thermal motion is included.

```
U2BrCl5
1.0
7.468 0.000 0.000
0.000 4.235 0.000
-3.639 0.000 6.646
U Br Cl
2 1 5
Direct
0.000 0.000 0.000 U
0.339 0.500 0.672 U
0.947 0.500 0.258 Br
0.061 0.000 0.653 Cl
0.275 0.500 0.036 Cl
0.357 0.000 0.420 Cl
0.571 0.000 0.938 Cl
0.751 0.500 0.727 Cl
```

The 10 most intense peaks (10 to 80 degrees two-theta), low angle first:
- 2θ 13.3, I 45
- 2θ 13.5, I 58
- 2θ 13.7, I 67
- 2θ 24.9, I 44
- 2θ 25.1, I 100
- 2θ 34.3, I 57
- 2θ 34.6, I 44
- 2θ 34.9, I 55
- 2θ 41.9, I 48
- 2θ 42.7, I 51

---

# 6
Diffraction record for Na2Bi5AuO11. The powder diffractogram is theoretical, not measured: it uses a GGA-PBE-relaxed structure and Cu Kα.
No peak broadening, texture or thermal motion is included.

```
Na2Bi5AuO11
1.0
12.233 0.000 0.000
0.000 12.233 0.000
0.000 0.000 3.877
Na Bi Au O
4 10 2 22
Direct
0.205 0.295 0.000 Na
0.295 0.795 0.000 Na
0.705 0.205 0.000 Na
0.795 0.705 0.000 Na
0.000 0.500 0.000 Bi
0.047 0.771 0.500 Bi
0.229 0.047 0.500 Bi
0.271 0.547 0.500 Bi
0.453 0.271 0.500 Bi
0.500 0.000 0.000 Bi
0.547 0.729 0.500 Bi
0.729 0.453 0.500 Bi
0.771 0.953 0.500 Bi
0.953 0.229 0.500 Bi
0.000 0.000 0.000 Au
0.500 0.500 0.000 Au
0.000 0.500 0.500 O
0.004 0.328 0.000 O
0.113 0.879 0.000 O
0.121 0.113 0.000 O
0.172 0.496 0.000 O
0.212 0.712 0.500 O
0.288 0.212 0.500 O
0.328 0.996 0.000 O
0.379 0.613 0.000 O
0.387 0.379 0.000 O
0.496 0.828 0.000 O
0.500 0.000 0.500 O
0.504 0.172 0.000 O
0.613 0.621 0.000 O
0.621 0.387 0.000 O
0.672 0.004 0.000 O
0.712 0.788 0.500 O
0.788 0.288 0.500 O
0.828 0.504 0.000 O
0.879 0.887 0.000 O
0.887 0.121 0.000 O
0.996 0.672 0.000 O
```

The 10 most intense peaks (10 to 80 degrees two-theta), low angle first:
- 2θ 14.5, I 28
- 2θ 27.2, I 27
- 2θ 29.2, I 47
- 2θ 30.1, I 22
- 2θ 31.0, I 100
- 2θ 32.7, I 23
- 2θ 46.9, I 16
- 2θ 50.6, I 17
- 2θ 52.9, I 17
- 2θ 55.7, I 16

---

# 7
Diffraction record for SmFe4B4. The powder diffractogram is theoretical, not measured: it uses a GGA-PBE-relaxed structure and Cu Kα.
No peak broadening, texture or thermal motion is included.

```
SmFe4B4
1.0
7.009 0.000 0.000
0.000 7.009 0.000
0.000 0.000 3.808
Sm Fe B
2 8 8
Direct
0.250 0.250 0.250 Sm
0.750 0.750 0.750 Sm
0.118 0.637 0.142 Fe
0.137 0.882 0.642 Fe
0.363 0.618 0.642 Fe
0.382 0.863 0.142 Fe
0.618 0.137 0.858 Fe
0.637 0.382 0.358 Fe
0.863 0.118 0.358 Fe
0.882 0.363 0.858 Fe
0.049 0.916 0.144 B
0.084 0.549 0.644 B
0.416 0.951 0.644 B
0.451 0.584 0.144 B
0.549 0.416 0.856 B
0.584 0.049 0.356 B
0.916 0.451 0.356 B
0.951 0.084 0.856 B
```

The 10 most intense peaks (10 to 80 degrees two-theta), low angle first:
- 2θ 25.4, I 29
- 2θ 26.6, I 57
- 2θ 36.3, I 17
- 2θ 37.2, I 100
- 2θ 40.7, I 71
- 2θ 49.6, I 16
- 2θ 52.9, I 31
- 2θ 59.6, I 16
- 2θ 64.5, I 15
- 2θ 71.8, I 18

---

# 8
Diffraction record for RbCuSe. The powder diffractogram is theoretical, not measured: it uses a GGA-PBE-relaxed structure and Cu Kα.
No peak broadening, texture or thermal motion is included.

```
RbCuSe
1.0
11.431 0.000 0.000
0.000 6.596 0.000
0.000 0.000 5.628
Rb Cu Se
4 4 4
Direct
0.155 0.025 0.000 Rb
0.345 0.525 0.500 Rb
0.655 0.475 0.000 Rb
0.845 0.975 0.500 Rb
0.000 0.499 0.251 Cu
0.000 0.501 0.751 Cu
0.500 0.001 0.251 Cu
0.500 0.999 0.751 Cu
0.091 0.271 0.502 Se
0.409 0.771 0.002 Se
0.591 0.229 0.502 Se
0.909 0.729 0.002 Se
```

The 10 most intense peaks (10 to 80 degrees two-theta), low angle first:
- 2θ 15.5, I 46
- 2θ 20.6, I 50
- 2θ 20.7, I 30
- 2θ 22.2, I 68
- 2θ 27.0, I 91
- 2θ 35.2, I 100
- 2θ 35.6, I 48
- 2θ 45.2, I 58
- 2θ 53.5, I 35
- 2θ 55.7, I 31